Structure and computed X-ray powder pattern of Ce10Si5Ni (a structure optimized by DFT (PBE); CuKα).
Peak positions follow from Bragg's law for the DFT cell and can differ from measured ones.

Main lines, low angle first (2θ = 5–70°):
two_theta, intensity
26.68, 31
26.92, 27
27.05, 54
32.56, 24
33.39, 96
33.59, 100
36.61, 72
36.75, 40
37.02, 36
42.59, 34
53.44, 30
53.71, 28

Atomic structure:
```
Ce10Si5Ni
1.0
0.0000 6.3691 5.4814
5.4175 0.0000 5.4814
5.4175 6.3691 0.0000
Ce Si Ni
10 5 1
direct
0.0019 0.3440 0.3055 Ce
0.1544 0.8456 0.1544 Ce
0.1612 0.6858 0.8388 Ce
0.1942 0.5104 0.4896 Ce
0.3440 0.0019 0.3486 Ce
0.5104 0.1942 0.8058 Ce
0.6514 0.6945 0.6560 Ce
0.6858 0.1612 0.3142 Ce
0.6945 0.6514 0.9981 Ce
0.8456 0.1544 0.8456 Ce
0.0639 0.2944 0.9361 Si
0.2944 0.0639 0.7056 Si
0.4255 0.4255 0.0745 Si
0.5518 0.5518 0.4482 Si
0.9255 0.9255 0.5745 Si
0.7719 0.7719 0.2281 Ni
```